# 1
Ca4TiMn3O10: calculated powder diffractogram (CuKα), based on a cell relaxed with PBE+U.

The 10 most intense peaks (15° ≤ 2θ ≤ 90°), sorted by position:
2θ = 21.98°, I 17, hkl 0 0 2; 2θ = 22.80°, I 18, hkl 2 0 0; 2θ = 31.78°, I 98, hkl 0 2 2; 2θ = 31.96°, I 100, hkl 0 2 -2; 2θ = 32.38°, I 36, hkl 2 2 0; 2θ = 32.53°, I 33, hkl 2 -2 0; 2θ = 46.49°, I 37, hkl 0 4 0; 2θ = 46.63°, I 34, hkl 4 0 0; 2θ = 57.53°, I 16, hkl -2 4 2; 2θ = 57.66°, I 25, hkl 4 2 -2

Crystal structure
Cell: 7.792 7.813 8.089 Å, 89.62 89.74 89.75°
Sites, in units of the cell vectors:
Ca  0.000  0.000  0.000
Ca  0.000  0.043  0.588
Ca  0.506  0.995  0.990
Ca  0.546  0.473  0.606
Ca  0.549  0.489  0.081
Ca  0.564  0.017  0.579
Ca  0.988  0.478  0.613
Ca  0.993  0.510  0.035
Ti  0.258  0.826  0.278
Ti  0.271  0.256  0.281
Mn  0.260  0.268  0.816
Mn  0.260  0.758  0.751
Mn  0.757  0.248  0.830
Mn  0.761  0.744  0.793
Mn  0.773  0.247  0.319
Mn  0.816  0.742  0.331
O  0.006  0.721  0.828
O  0.014  0.284  0.841
O  0.045  0.759  0.200
O  0.084  0.276  0.413
O  0.228  0.018  0.821
O  0.261  0.042  0.176
O  0.261  0.861  0.498
O  0.265  0.392  0.099
O  0.272  0.492  0.707
O  0.456  0.748  0.190
O  0.480  0.278  0.379
O  0.502  0.224  0.797
O  0.517  0.786  0.788
O  0.729  0.506  0.861
O  0.738  0.196  0.064
O  0.764  0.676  0.549
O  0.773  0.271  0.590
O  0.788  0.514  0.247
O  0.790  0.991  0.793
O  0.795  0.982  0.379

# 2
Ca8Ti2Mn6O23: calculated powder diffractogram (CuKα), based on a cell relaxed with PBE+U.

The 10 most intense peaks (15° ≤ 2θ ≤ 90°), sorted by position:
2θ = 23.28°, I 15, hkl 2 0 0; 2θ = 32.93°, I 100, hkl 0 2 2; 2θ = 33.16°, I 44, hkl 2 2 0; 2θ = 46.91°, I 22, hkl 0 0 4; 2θ = 47.60°, I 48, hkl 0 4 0; 2θ = 58.65°, I 18, hkl 2 2 4; 2θ = 59.09°, I 32, hkl 4 2 2; 2θ = 69.05°, I 22, hkl 0 4 4; 2θ = 69.59°, I 12, hkl 4 4 0; 2θ = 88.18°, I 10, hkl 4 4 4

Crystal structure
Cell: 7.641 7.644 7.747 Å, 90.00 90.00 90.00°
Sites, in units of the cell vectors:
Ca  0.231  0.247  0.000
Ca  0.231  0.753  0.000
Ca  0.236  0.239  0.509
Ca  0.236  0.761  0.509
Ca  0.764  0.239  0.509
Ca  0.764  0.761  0.509
Ca  0.769  0.247  0.000
Ca  0.769  0.753  0.000
Ti  0.500  0.000  0.225
Ti  0.500  0.500  0.253
Mn  0.000  0.000  0.243
Mn  0.000  0.000  0.744
Mn  0.000  0.500  0.247
Mn  0.000  0.500  0.755
Mn  0.500  0.000  0.735
Mn  0.500  0.500  0.740
O  0.000  0.000  0.490
O  0.000  0.000  0.990
O  0.000  0.249  0.245
O  0.000  0.250  0.740
O  0.000  0.500  0.000
O  0.000  0.500  0.501
O  0.000  0.750  0.740
O  0.000  0.751  0.245
O  0.248  0.000  0.234
O  0.249  0.000  0.723
O  0.249  0.500  0.231
O  0.256  0.500  0.791
O  0.500  0.000  0.472
O  0.500  0.000  0.970
O  0.500  0.250  0.716
O  0.500  0.261  0.176
O  0.500  0.500  0.480
O  0.500  0.739  0.176
O  0.500  0.750  0.716
O  0.744  0.500  0.791
O  0.751  0.000  0.723
O  0.751  0.500  0.231
O  0.752  0.000  0.234